Record 1
# LaCe4Os2
Calculated X-ray diffraction stick pattern, λ = 1.5418 Å (Cu Kα). Input: a crystal structure in Alexandria, relaxed with GGA-PBE.

Crystal structure
Unit cell a=7.716 b=6.341 c=8.459 alpha=90.00 beta=116.91 gamma=90.00
Space group P2_1/m (No. 11)
Symmetry-distinct sites (fractional):
La  0.009  0.250  0.139 [2 per cell]
Ce  0.204  0.015  0.573 [4 per cell]
Ce  0.350  0.750  0.295 [2 per cell]
Ce  0.386  0.250  0.012 [2 per cell]
Os  0.017  0.250  0.770 [2 per cell]
Os  0.444  0.250  0.339 [2 per cell]

Largest 12 diffraction maxima, low angle first, 2θ from 15° to 90°:
| index | 2θ (°) | I_rel |
| --- | --- | --- |
| 1 1 -1 | 19.1 | 46 |
| 0 2 0 | 28.1 | 37 |
| 0 2 1 | 30.6 | 29 |
| 1 2 -1 | 31.1 | 50 |
| 1 0 -3 | 31.9 | 75 |
| 2 0 1 | 33.2 | 35 |
| 3 0 -1 | 35.4 | 100 |
| 2 1 -3 | 36.3 | 28 |
| 0 2 2 | 37.0 | 26 |
| 2 2 0 | 38.6 | 70 |
| 3 2 0 | 49.0 | 25 |
| 1 2 3 | 52.7 | 28 |



Record 2
# Sm6GaS4
Calculated X-ray diffraction stick pattern, λ = 1.5418 Å (Cu Kα). Input: a crystal structure in Alexandria, relaxed with GGA-PBE.

Crystal structure
Unit cell a=3.993 b=13.368 c=20.458 alpha=90.00 beta=90.00 gamma=90.00
Space group Cmcm (No. 63)
Symmetry-distinct sites (fractional):
Sm  0.000  0.000  0.000 [4 per cell]
Sm  0.000  0.168  0.250 [4 per cell]
Sm  0.000  0.273  0.583 [8 per cell]
Sm  0.000  0.455  0.162 [8 per cell]
Ga  0.000  0.164  0.750 [4 per cell]
S  0.000  0.092  0.124 [8 per cell]
S  0.000  0.363  0.041 [8 per cell]

Largest 12 diffraction maxima, low angle first, 2θ from 15° to 90°:
| index | 2θ (°) | I_rel |
| --- | --- | --- |
| 0 4 0 | 26.7 | 44 |
| 0 4 1 | 27.0 | 23 |
| 1 1 4 | 29.1 | 45 |
| 0 2 6 | 29.4 | 100 |
| 1 3 1 | 30.4 | 41 |
| 1 3 2 | 31.3 | 88 |
| 1 3 3 | 32.9 | 33 |
| 1 1 8 | 42.5 | 22 |
| 2 0 0 | 45.4 | 29 |
| 0 6 5 | 46.4 | 28 |
| 1 5 5 | 46.5 | 24 |
| 2 2 6 | 55.0 | 35 |



Record 3
# Pa3P4Pd2Ru2
Calculated X-ray diffraction stick pattern, λ = 1.5418 Å (Cu Kα). Input: a crystal structure in Alexandria, relaxed with GGA-PBE.

Crystal structure
Unit cell a=4.1029 b=4.1029 c=13.7464 alpha=90.00 beta=90.00 gamma=120.00
Space group P-3m1 (No. 164)
Symmetry-distinct sites (fractional):
Pa  0.0000  0.0000  0.0000 [1 per cell]
Pa  0.0000  0.0000  0.2692 [2 per cell]
P  0.3333  0.6667  0.3830 [2 per cell]
P  0.3333  0.6667  0.8735 [2 per cell]
Pd  0.3333  0.6667  0.5617 [2 per cell]
Ru  0.3333  0.6667  0.1498 [2 per cell]

Largest 12 diffraction maxima, low angle first, 2θ from 15° to 90°:
| index | 2θ (°) | I_rel |
| --- | --- | --- |
| 1 0 0 | 25.1 | 34 |
| 0 0 4 | 25.9 | 27 |
| 1 0 2 | 28.3 | 34 |
| 1 0 3 | 31.9 | 70 |
| 0 1 4 | 36.4 | 100 |
| 1 1 0 | 44.1 | 73 |
| 0 0 7 | 46.2 | 15 |
| 0 2 2 | 53.3 | 16 |
| 0 2 3 | 55.5 | 15 |
| 2 0 4 | 58.5 | 26 |
| 1 1 7 | 65.8 | 29 |
| 1 2 4 | 76.1 | 25 |



Record 4
# Ba5Sr3
Calculated X-ray diffraction stick pattern, λ = 1.5418 Å (Cu Kα). Input: a crystal structure in Alexandria, relaxed with GGA-PBE.

Crystal structure
Unit cell a=12.0252 b=12.0252 c=7.9181 alpha=90.00 beta=90.00 gamma=120.00
Space group P6_3/mcm (No. 193)
Symmetry-distinct sites (fractional):
Ba  0.0000  0.2370  0.2500 [6 per cell]
Ba  0.3333  0.6667  0.0000 [4 per cell]
Sr  0.0000  0.4112  0.7500 [6 per cell]

Largest 12 diffraction maxima, low angle first, 2θ from 15° to 90°:
| index | 2θ (°) | I_rel |
| --- | --- | --- |
| 2 1 0 | 22.6 | 39 |
| 1 0 2 | 24.0 | 17 |
| 2 1 1 | 25.3 | 100 |
| 3 0 0 | 25.7 | 29 |
| 1 1 2 | 27.0 | 62 |
| 2 2 2 | 37.6 | 17 |
| 4 1 0 | 39.7 | 15 |
| 2 1 3 | 41.2 | 27 |
| 4 0 2 | 41.5 | 20 |
| 3 3 1 | 46.8 | 13 |
| 5 0 2 | 49.4 | 19 |
| 2 1 4 | 51.7 | 12 |



Record 5
# Ag3Sb2
Calculated X-ray diffraction stick pattern, λ = 1.5418 Å (Cu Kα). Input: a crystal structure in Alexandria, relaxed with GGA-PBE.

Crystal structure
Unit cell a=10.956 b=27.451 c=2.940 alpha=90.00 beta=90.00 gamma=90.00
Space group Fdd2 (No. 43)
Symmetry-distinct sites (fractional):
Ag  0.000  0.000  0.000 [8 per cell]
Ag  0.003  0.407  0.997 [16 per cell]
Sb  0.003  0.310  0.485 [16 per cell]

Largest 12 diffraction maxima, low angle first, 2θ from 15° to 90°:
| index | 2θ (°) | I_rel |
| --- | --- | --- |
| 4 0 0 | 32.7 | 67 |
| 1 5 1 | 35.6 | 100 |
| 2 10 0 | 36.6 | 76 |
| 3 5 1 | 42.8 | 59 |
| 5 5 1 | 54.9 | 27 |
| 1 15 1 | 60.2 | 12 |
| 6 10 0 | 60.9 | 16 |
| 2 0 2 | 65.8 | 17 |
| 7 5 1 | 70.3 | 13 |
| 0 10 2 | 73.0 | 9 |
| 4 10 2 | 82.3 | 15 |
| 9 5 1 | 88.8 | 11 |



Record 6
# CsZrCu2Te4
Calculated X-ray diffraction stick pattern, λ = 1.5418 Å (Cu Kα). Input: a crystal structure in Alexandria, relaxed with GGA-PBE.

Crystal structure
Unit cell a=6.394 b=10.030 c=10.095 alpha=90.00 beta=90.00 gamma=90.00
Space group I222 (No. 23)
Symmetry-distinct sites (fractional):
Cs  0.000  0.000  0.000 [2 per cell]
Zr  0.000  0.000  0.500 [2 per cell]
Cu  0.000  0.500  0.119 [4 per cell]
Te  0.232  0.173  0.344 [8 per cell]

Largest 12 diffraction maxima, low angle first, 2θ from 15° to 90°:
| index | 2θ (°) | I_rel |
| --- | --- | --- |
| 1 1 0 | 16.4 | 9 |
| 1 1 2 | 24.2 | 100 |
| 0 2 2 | 25.0 | 16 |
| 0 1 3 | 28.0 | 13 |
| 2 2 0 | 33.2 | 37 |
| 1 1 4 | 39.4 | 17 |
| 1 4 1 | 39.6 | 13 |
| 2 3 1 | 40.0 | 8 |
| 3 1 2 | 47.2 | 15 |
| 2 3 3 | 47.7 | 16 |
| 3 1 4 | 57.3 | 9 |
| 1 4 5 | 60.7 | 9 |



Record 7
# DyHo3Al8
Calculated X-ray diffraction stick pattern, λ = 1.5418 Å (Cu Kα). Input: a crystal structure in Alexandria, relaxed with GGA-PBE.

Crystal structure
Unit cell a=5.5391 b=5.5391 c=9.0919 alpha=90.00 beta=90.00 gamma=120.00
Space group P3m1 (No. 156)
Symmetry-distinct sites (fractional):
Dy  0.0000  0.0000  0.0000 [1 per cell]
Ho  0.0000  0.0000  0.3646 [1 per cell]
Ho  0.6667  0.3333  0.4998 [1 per cell]
Ho  0.6667  0.3333  0.8645 [1 per cell]
Al  0.1621  0.3242  0.6820 [3 per cell]
Al  0.3333  0.6667  0.4325 [1 per cell]
Al  0.3333  0.6667  0.9322 [1 per cell]
Al  0.5046  0.0092  0.1827 [3 per cell]

Largest 12 diffraction maxima, low angle first, 2θ from 15° to 90°:
| index | 2θ (°) | I_rel |
| --- | --- | --- |
| 1 0 0 | 18.5 | 42 |
| 0 0 2 | 19.5 | 20 |
| 1 0 1 | 20.9 | 34 |
| 1 0 2 | 27.0 | 19 |
| 1 1 0 | 32.3 | 76 |
| 1 0 3 | 35.0 | 100 |
| 1 1 2 | 38.0 | 66 |
| 0 2 1 | 38.8 | 30 |
| 0 2 3 | 48.4 | 19 |
| 2 1 3 | 59.4 | 42 |
| 0 2 5 | 64.3 | 19 |
| 1 3 3 | 78.5 | 19 |



Record 8
# Zr2SbW
Calculated X-ray diffraction stick pattern, λ = 1.5418 Å (Cu Kα). Input: a crystal structure in Alexandria, relaxed with GGA-PBE.

Crystal structure
Unit cell a=3.505 b=4.572 c=5.577 alpha=90.00 beta=108.15 gamma=90.00
Space group Pm (No. 6)
Symmetry-distinct sites (fractional):
Zr  0.000  0.000  0.000 [1 per cell]
Zr  0.294  0.500  0.591 [1 per cell]
Sb  0.573  0.500  0.146 [1 per cell]
W  0.742  0.000  0.487 [1 per cell]

Largest 12 diffraction maxima, low angle first, 2θ from 15° to 90°:
| index | 2θ (°) | I_rel |
| --- | --- | --- |
| 0 0 1 | 16.7 | 16 |
| 1 0 -1 | 26.8 | 21 |
| 1 1 -1 | 33.3 | 100 |
| 0 0 2 | 33.8 | 27 |
| 0 1 2 | 39.3 | 41 |
| 0 2 0 | 39.4 | 39 |
| 1 1 1 | 41.3 | 77 |
| 2 0 -1 | 52.2 | 17 |
| 0 2 2 | 52.9 | 15 |
| 2 2 -1 | 67.3 | 30 |
| 1 3 -1 | 67.6 | 13 |
| 1 3 1 | 72.8 | 14 |



Repeat the first record exactly.
# LaCe4Os2
Calculated X-ray diffraction stick pattern, λ = 1.5418 Å (Cu Kα). Input: a crystal structure in Alexandria, relaxed with GGA-PBE.

Crystal structure
Unit cell a=7.716 b=6.341 c=8.459 alpha=90.00 beta=116.91 gamma=90.00
Space group P2_1/m (No. 11)
Symmetry-distinct sites (fractional):
La  0.009  0.250  0.139 [2 per cell]
Ce  0.204  0.015  0.573 [4 per cell]
Ce  0.350  0.750  0.295 [2 per cell]
Ce  0.386  0.250  0.012 [2 per cell]
Os  0.017  0.250  0.770 [2 per cell]
Os  0.444  0.250  0.339 [2 per cell]

Largest 12 diffraction maxima, low angle first, 2θ from 15° to 90°:
| index | 2θ (°) | I_rel |
| --- | --- | --- |
| 1 1 -1 | 19.1 | 46 |
| 0 2 0 | 28.1 | 37 |
| 0 2 1 | 30.6 | 29 |
| 1 2 -1 | 31.1 | 50 |
| 1 0 -3 | 31.9 | 75 |
| 2 0 1 | 33.2 | 35 |
| 3 0 -1 | 35.4 | 100 |
| 2 1 -3 | 36.3 | 28 |
| 0 2 2 | 37.0 | 26 |
| 2 2 0 | 38.6 | 70 |
| 3 2 0 | 49.0 | 25 |
| 1 2 3 | 52.7 | 28 |